Record 1
Calculated PXRD pattern of Tl2I2Cl7 for copper Kα, from a GGA-PBE-relaxed structure.
Peak positions follow from Bragg's law for the DFT cell and can differ from measured ones.

Cell and atoms:
Cell: 8.040 15.058 7.591 Å, 90.00 91.08 90.00°
Space group P2_1/c (No. 14)
Unique sites:
Tl  0.032  0.167  0.463
I  0.451  0.608  0.766
Cl  0.132  0.698  0.361
Cl  0.194  0.524  0.860
Cl  0.288  0.195  0.798
Cl  0.500  0.000  0.000

Most intense lines, 10 to 80 degrees two-theta, low angle first:
13.06 deg, I 64, hkl 0 1 1
16.13 deg, I 83, hkl 1 2 0
17.26 deg, I 80, hkl 1 1 1
19.83 deg, I 100, hkl 1 2 -1
23.86 deg, I 60, hkl 1 3 -1
26.16 deg, I 95, hkl 1 0 2
30.68 deg, I 62, hkl 2 3 -1
37.53 deg, I 74, hkl 1 6 0


Record 2
Calculated PXRD pattern of KTaPd2O for copper Kα, from a GGA-PBE-relaxed structure.
Peak positions follow from Bragg's law for the DFT cell and can differ from measured ones.

Cell and atoms:
Cell: 4.701 4.701 5.968 Å, 90.00 90.00 90.00°
Space group P4/mmm (No. 123)
Unique sites:
K  0.000  0.000  0.000
Ta  0.000  0.000  0.500
Pd  0.000  0.500  0.000
O  0.500  0.500  0.500

Most intense lines, 10 to 80 degrees two-theta, low angle first:
18.88 deg, I 49, hkl 1 0 0
29.95 deg, I 40, hkl 0 0 2
30.79 deg, I 100, hkl 1 1 1
35.64 deg, I 20, hkl 1 0 2
38.29 deg, I 41, hkl 2 0 0
49.35 deg, I 39, hkl 2 0 2
53.70 deg, I 21, hkl 1 1 3
64.60 deg, I 24, hkl 3 1 1


Record 3
Calculated PXRD pattern of Tb10Pm4Y for copper Kα, from a GGA-PBE-relaxed structure.
Peak positions follow from Bragg's law for the DFT cell and can differ from measured ones.

Cell and atoms:
Cell: 9.774 9.774 11.574 Å, 90.00 90.00 90.00°
Space group I4/m (No. 87)
Unique sites:
Tb  0.000  0.500  0.250
Tb  0.118  0.228  0.162
Pm  0.070  0.325  0.500
Y  0.000  0.000  0.000

Most intense lines, 10 to 80 degrees two-theta, low angle first:
11.85 deg, I 24, hkl 1 0 1
24.81 deg, I 24, hkl 1 0 3
28.89 deg, I 66, hkl 3 1 0
30.91 deg, I 100, hkl 2 1 3
32.85 deg, I 38, hkl 3 1 2
33.97 deg, I 21, hkl 2 3 1
44.30 deg, I 21, hkl 2 4 2
56.21 deg, I 22, hkl 1 3 6


Record 4
Calculated PXRD pattern of HfB6 for copper Kα, from a GGA-PBE-relaxed structure.
Peak positions follow from Bragg's law for the DFT cell and can differ from measured ones.

Cell and atoms:
Cell: 4.038 4.038 4.038 Å, 90.00 90.00 90.00°
Space group Pm-3m (No. 221)
Unique sites:
Hf  0.000  0.000  0.000
B  0.197  0.500  0.500

Most intense lines, 10 to 80 degrees two-theta, low angle first:
22.01 deg, I 74, hkl 1 0 0
31.33 deg, I 100, hkl 1 1 0
38.62 deg, I 42, hkl 1 1 1
44.90 deg, I 21, hkl 2 0 0
50.54 deg, I 51, hkl 2 1 0
55.77 deg, I 30, hkl 2 1 1
69.89 deg, I 28, hkl 2 2 1
74.28 deg, I 20, hkl 3 1 0


Record 5
Calculated PXRD pattern of Ba4Li2Cd3P6 for copper Kα, from a GGA-PBE-relaxed structure.
Peak positions follow from Bragg's law for the DFT cell and can differ from measured ones.

Cell and atoms:
Cell: 4.519 20.054 16.966 Å, 90.00 90.00 90.00°
Space group Cmcm (No. 63)
Unique sites:
Ba  0.000  0.017  0.122
Ba  0.000  0.171  0.569
Li  0.000  0.150  0.250
Li  0.000  0.438  0.250
Cd  0.000  0.297  0.250
Cd  0.000  0.349  0.626
P  0.000  0.119  0.750
P  0.000  0.220  0.119
P  0.000  0.430  0.750
P  0.000  0.444  0.011

Most intense lines, 10 to 80 degrees two-theta, low angle first:
25.62 deg, I 100, hkl 1 1 3
26.67 deg, I 62, hkl 0 6 0
27.76 deg, I 72, hkl 0 2 5
30.26 deg, I 71, hkl 1 5 1
31.87 deg, I 91, hkl 1 3 4
33.83 deg, I 92, hkl 1 5 3
39.90 deg, I 71, hkl 2 0 0
49.36 deg, I 94, hkl 1 3 8


Record 6
Calculated PXRD pattern of Tb8Sm2Tl for copper Kα, from a GGA-PBE-relaxed structure.
Peak positions follow from Bragg's law for the DFT cell and can differ from measured ones.

Cell and atoms:
Cell: 5.464 7.608 17.256 Å, 90.00 90.00 90.00°
Space group Immm (No. 71)
Unique sites:
Tb  0.000  0.000  0.180
Tb  0.000  0.230  0.363
Tb  0.000  0.260  0.000
Sm  0.000  0.500  0.193
Tl  0.000  0.500  0.500

Most intense lines, 10 to 80 degrees two-theta, low angle first:
30.64 deg, I 19, hkl 1 0 5
31.10 deg, I 17, hkl 0 0 6
32.64 deg, I 100, hkl 1 2 3
32.78 deg, I 30, hkl 2 0 0
45.81 deg, I 12, hkl 2 0 6
58.42 deg, I 19, hkl 3 2 3
59.19 deg, I 10, hkl 2 4 0
59.79 deg, I 10, hkl 2 2 8